The following is a simulated powder diffractogram of Na3GdV2O8. It was derived from the GGA+U geometry in the Materials Project, using Cu Kα (λ = 1.5418 Å).
Peak positions follow from Bragg's law for the DFT cell and can differ from measured ones.

The 10 most intense peaks (15 to 90 degrees two-theta), by angle:
d/Å	Position (°2θ)	I_rel
5.160	17.18	17
4.211	21.10	68
2.978	30.01	100
2.105	42.96	29
1.884	48.32	19
1.719	53.28	31
1.554	59.48	12
1.489	62.36	15
1.332	70.74	12
1.126	86.43	12

```
data_Na3GdV2O8
_chemical_formula_sum 'Na3 Gd1 V2 O8'
_cell_length_a 5.9586
_cell_length_b 5.9586
_cell_length_c 7.2849
_cell_angle_alpha 90.00
_cell_angle_beta 90.00
_cell_angle_gamma 120.00
_space_group_name_H-M_alt 'P -3 m 1'
_space_group_IT_number 164
_space_group_name_Hall '-P 3 2"'
loop_
_atom_site_label
_atom_site_fract_x
_atom_site_fract_y
_atom_site_fract_z
_atom_site_occupancy
Na1 0.0000 0.0000 0.0000 1
Na2 0.3333 0.6667 0.6939 1
Gd1 0.0000 0.0000 0.5000 1
V1 0.3333 0.6667 0.2242 1
O1 0.1737 0.3474 0.3094 1
O2 0.3333 0.6667 0.9936 1
```